# Sm2ZnRh2
Simulated PXRD pattern, a wavelength of 1.5418 Å. Input: a DFT-relaxed cell (PBE, Alexandria).
Intensities are scaled so that the largest is 100.

Principal peaks in the range 10° ≤ 2θ ≤ 90°, by angle:
3.506 Å, rel. 40
2.778 Å, rel. 29
2.643 Å, rel. 47
2.571 Å, rel. 100
2.440 Å, rel. 79
2.382 Å, rel. 30
2.374 Å, rel. 63
2.364 Å, rel. 69
2.191 Å, rel. 54
1.440 Å, rel. 31

Structure:
```
Sm2ZnRh2
1.0
5.0948 -2.7376 0.0000
5.0948 2.7376 0.0000
-2.2373 0.0000 7.5420
Sm Zn Rh
4 2 4
direct
0.0028 0.7050 0.8509
0.2950 0.9972 0.6491
0.7050 0.0028 0.3509
0.9972 0.2950 0.1491
0.3573 0.6427 0.2500
0.6427 0.3573 0.7500
0.2233 0.5103 0.4876
0.4897 0.7767 0.0124
0.5103 0.2233 0.9876
0.7767 0.4897 0.5124
```